Theoretical powder diffraction line list of FeCu2Ir for Cu Kα (λ = 1.5418 Å), from a structure optimized by DFT (PBE).
Intensities are scaled so that the largest is 100.

Largest 6 diffraction maxima, by intensity, 2θ from 15° to 90°:
2θ 41.93, I = 100
2θ 42.28, I = 98
2θ 49.69, I = 60
2θ 17.18, I = 47
2θ 71.30, I = 39
2θ 47.64, I = 34

Atomic structure:
```
data_FeCu2Ir
_space_group_name_H-M_alt 'P m m m'
_space_group_IT_number 47
_space_group_name_Hall '-P 2 2'
_cell_length_a 2.610
_cell_length_b 3.818
_cell_length_c 5.160
_cell_angle_alpha 90.00
_cell_angle_beta 90.00
_cell_angle_gamma 90.00
loop_
_atom_site_label
_atom_site_fract_x
_atom_site_fract_y
_atom_site_fract_z
_atom_site_occupancy
Fe1 0.000 0.000 0.000 1
Cu1 0.500 0.500 0.245 1
Ir1 0.000 0.000 0.500 1
```